Simulated powder diffractogram
Compound: CeZn2Co9
Radiation: CuKα
Structure: DFT lattice parameters and positions (GGA-PBE)
Lines closer than 0.1° are merged.

Largest 10 diffraction maxima, low angle first, 10 to 80 degrees two-theta:
d 2.554, I = 20
d 2.444, I = 28
d 2.363, I = 15
d 2.247, I = 100
d 2.039, I = 36
d 2.024, I = 36
d 1.977, I = 64
d 1.959, I = 43
d 1.806, I = 18
d 1.316, I = 16

Atomic structure:
```
data_CeZn2Co9
_chemical_formula_sum 'Ce2 Zn4 Co18'
_space_group_name_H-M_alt 'P 4/m b m'
_space_group_IT_number 127
_space_group_name_Hall '-P 4 2ab'
_cell_length_a 8.0775
_cell_length_b 8.0775
_cell_length_c 4.7258
_cell_angle_alpha 90.00
_cell_angle_beta 90.00
_cell_angle_gamma 90.00
loop_
_atom_site_label
_atom_site_type_symbol
_atom_site_fract_x
_atom_site_fract_y
_atom_site_fract_z
Ce1 Ce 0.0000 0.0000 0.0000
Zn1 Zn 0.1177 0.3823 0.0000
Co1 Co 0.0000 0.5000 0.5000
Co2 Co 0.0688 0.2103 0.5000
Co3 Co 0.1777 0.6777 0.2372
```